For GeSbS3, DFT lattice parameters and positions (PBE) gives the simulated powder XRD pattern in this record (a wavelength of 1.5418 Å).
Lines closer than 0.1° are merged.

Main lines, by angle (10 to 90 degrees two-theta):
d_spacing	I/Imax	(hkl)
8.625	84	1 0 1
5.944	100	2 0 1
3.240	13	2 1 0
3.224	16	2 0 3
3.104	40	2 1 1
2.714	42	0 0 4
2.542	66	4 1 0
2.078	17	2 0 5
1.855	45	4 1 4
1.820	13	0 2 0

Crystal structure
a b c (Å): 14.2078 3.6403 10.8542
angles (deg): 90.00 90.00 90.00
Space group Pnma (No. 62)
Inequivalent atoms, fractional coordinates:
Ge 0.2017 0.2500 0.1426
Sb 0.0717 0.7500 0.3769
S 0.0614 0.7500 0.6317
S 0.0857 0.7500 0.1365
S 0.2087 0.2500 0.3673

For TaGeSbS2, DFT lattice parameters and positions (PBE) gives the simulated powder XRD pattern in this record (a wavelength of 1.5418 Å).
Lines closer than 0.1° are merged.

Main lines, by angle (10 to 90 degrees two-theta):
d_spacing	I/Imax	(hkl)
4.932	100	1 0 0
3.487	81	1 1 0
2.934	45	1 1 1
2.715	44	0 0 2
2.466	67	2 0 0
2.379	31	1 0 2
2.206	25	2 1 0
2.143	44	1 1 2
1.825	53	2 0 2
1.467	26	2 2 2

Crystal structure
a b c (Å): 4.9317 4.9317 5.4309
angles (deg): 90.00 90.00 90.00
Space group P4/mmm (No. 123)
Inequivalent atoms, fractional coordinates:
Ta 0.0000 0.0000 0.0000
Ge 0.5000 0.5000 0.0000
Sb 0.0000 0.0000 0.5000
S 0.0000 0.5000 0.5000

For Tl2GeSbS4, DFT lattice parameters and positions (PBE) gives the simulated powder XRD pattern in this record (a wavelength of 1.5418 Å).
Lines closer than 0.1° are merged.

Main lines, by angle (10 to 90 degrees two-theta):
d_spacing	I/Imax	(hkl)
4.005	83	2 1 0
3.612	100	0 2 1
3.313	79	2 1 1
2.949	59	0 0 2
2.806	39	2 2 1
2.514	44	2 3 0
2.375	35	2 1 2
1.913	36	2 3 2
1.896	23	4 2 1
1.806	22	0 2 3

Crystal structure
a b c (Å): 8.9111 9.1359 5.8986
angles (deg): 90.00 90.00 90.00
Space group Pmn2_1 (No. 31)
Inequivalent atoms, fractional coordinates:
Tl 0.2226 0.1441 0.0000
Ge 0.0000 0.3951 0.4217
Sb 0.0000 0.6799 0.9625
S 0.0000 0.4003 0.0291
S 0.0000 0.6484 0.5326
S 0.2049 0.2564 0.5070

For Sc8GeS6, DFT lattice parameters and positions (PBE) gives the simulated powder XRD pattern in this record (a wavelength of 1.5418 Å).
Lines closer than 0.1° are merged.

Main lines, by angle (10 to 90 degrees two-theta):
d_spacing	I/Imax	(hkl)
3.352	22	0 1 1
2.908	46	2 -1 1
2.755	96	3 0 0
2.743	53	0 2 1
2.378	100	3 -1 1
2.292	42	1 3 0
2.000	70	2 2 1
1.684	31	3 2 1
1.377	20	6 0 0
1.124	18	3 5 1

Crystal structure
a b c (Å): 9.5441 9.5441 3.6674
angles (deg): 90.00 90.00 120.00
Space group P-3 (No. 147)
Inequivalent atoms, fractional coordinates:
Sc 0.0315 0.3215 0.2428
Sc 0.3333 0.6667 0.7558
Ge 0.0000 0.0000 0.0000
S 0.1340 0.6581 0.2540

For Sc5GeS5, DFT lattice parameters and positions (PBE) gives the simulated powder XRD pattern in this record (a wavelength of 1.5418 Å).
Lines closer than 0.1° are merged.

Main lines, by angle (10 to 90 degrees two-theta):
d_spacing	I/Imax	(hkl)
7.064	11	0 0 1
5.260	7	2 0 -1
4.765	12	1 1 0
2.633	100	0 2 0
1.862	54	4 2 -2
1.860	11	2 0 -4
1.520	21	6 2 0
1.317	6	0 4 0
1.178	15	4 4 -2
1.177	7	8 2 -4

Crystal structure
a b c (Å): 11.7768 5.2671 7.4397
angles (deg): 90.00 108.29 90.00
Space group C2/m (No. 12)
Inequivalent atoms, fractional coordinates:
Sc 0.0000 0.0000 0.0000
Sc 0.1626 0.5000 0.8232
Sc 0.1662 0.5000 0.3389
Ge 0.0000 0.5000 0.0000
S 0.0000 0.5000 0.5000
S 0.1686 0.0000 0.3338
S 0.1714 0.0000 0.8400

For ScGeSeS, DFT lattice parameters and positions (PBE) gives the simulated powder XRD pattern in this record (a wavelength of 1.5418 Å).
Lines closer than 0.1° are merged.

Main lines, by angle (10 to 90 degrees two-theta):
d_spacing	I/Imax	(hkl)
6.480	41	0 0 2
3.240	45	0 0 4
2.778	30	0 1 3
2.471	100	1 1 1
2.376	52	1 0 4
2.175	61	1 1 3
2.109	25	0 1 5
1.748	21	2 0 0
1.649	20	0 1 7
1.442	20	1 2 4

Crystal structure
a b c (Å): 3.4961 3.6271 12.9603
angles (deg): 90.00 90.00 90.00
Space group Amm2 (No. 38)
Inequivalent atoms, fractional coordinates:
Sc 0.0000 0.0000 0.0000
Ge 0.0000 0.0000 0.7503
Se 0.5000 0.0000 0.1738
S 0.5000 0.0000 0.4478

For ScGeSeS, DFT lattice parameters and positions (PBE) gives the simulated powder XRD pattern in this record (a wavelength of 1.5418 Å).
Lines closer than 0.1° are merged.

Main lines, by angle (10 to 90 degrees two-theta):
d_spacing	I/Imax	(hkl)
3.161	89	1 0 1
3.094	61	1 0 0
2.741	61	1 1 -1
2.616	100	1 1 2
2.597	100	0 1 -2
2.338	42	0 1 2
2.108	41	1 0 -2
1.855	40	1 -1 0
1.828	58	2 1 1
1.793	38	1 0 4

Crystal structure
a b c (Å): 3.6545 3.8004 7.5796
angles (deg): 88.54 76.15 61.35
Space group P1 (No. 1)
Inequivalent atoms, fractional coordinates:
Sc 0.0000 0.0000 0.0000
Ge 0.7793 0.9353 0.5126
Se 0.1947 0.3869 0.2260
S 0.7863 0.6154 0.8097

For Ge3Se2S2, DFT lattice parameters and positions (PBE) gives the simulated powder XRD pattern in this record (a wavelength of 1.5418 Å).
Lines closer than 0.1° are merged.

Main lines, by angle (10 to 90 degrees two-theta):
d_spacing	I/Imax	(hkl)
6.398	93	1 0 0
3.165	73	2 1 -1
2.930	82	0 1 2
2.893	65	1 2 -1
2.872	80	2 1 0
2.293	100	1 1 -3
2.262	85	2 2 -2
2.238	92	3 1 -1
1.890	55	2 0 2
1.884	96	1 3 1

Crystal structure
a b c (Å): 7.2434 6.5189 7.4257
angles (deg): 90.00 117.95 90.00
Space group P2_1/c (No. 14)
Inequivalent atoms, fractional coordinates:
Ge 0.0000 0.0000 0.0000
Ge 0.2757 0.0343 0.7289
Se 0.1252 0.6676 0.8696
S 0.3631 0.1553 0.1014

For Ge2SeS2, DFT lattice parameters and positions (PBE) gives the simulated powder XRD pattern in this record (a wavelength of 1.5418 Å).
Lines closer than 0.1° are merged.

Main lines, by angle (10 to 90 degrees two-theta):
d_spacing	I/Imax	(hkl)
5.783	100	1 0 1
3.985	25	2 0 0
3.281	28	2 1 1
2.643	49	1 0 3
2.533	21	3 0 1
2.161	24	3 1 2
2.138	48	3 2 1
1.993	20	4 0 0
1.715	20	3 3 2
1.684	21	2 2 4

Crystal structure
a b c (Å): 7.9703 7.9703 8.4034
angles (deg): 90.00 90.00 90.00
Space group I4_1md (No. 109)
Inequivalent atoms, fractional coordinates:
Ge 0.0000 0.3050 0.0000
Se 0.0000 0.0000 0.0771
S 0.0000 0.2263 0.7125

For GeSeS4, DFT lattice parameters and positions (PBE) gives the simulated powder XRD pattern in this record (a wavelength of 1.5418 Å).
Lines closer than 0.1° are merged.

Main lines, by angle (10 to 90 degrees two-theta):
d_spacing	I/Imax	(hkl)
5.599	38	0 0 1
4.845	20	1 0 0
4.569	34	1 1 1
4.540	100	1 1 0
3.160	18	1 -1 0
3.116	15	1 -1 1
2.807	42	0 2 0
2.797	31	0 0 2
2.666	15	2 0 1
1.997	13	1 3 0

Crystal structure
a b c (Å): 5.8158 6.1254 6.2906
angles (deg): 78.21 62.83 66.48
Space group P1 (No. 1)
Inequivalent atoms, fractional coordinates:
Ge 0.0000 0.0000 0.0000
Se 0.3386 0.5414 0.3729
S 0.0811 0.9446 0.3687
S 0.1285 0.5794 0.9450
S 0.4892 0.5039 0.9766
S 0.6842 0.0038 0.4126

For SnGe2Se2S, DFT lattice parameters and positions (PBE) gives the simulated powder XRD pattern in this record (a wavelength of 1.5418 Å).
Lines closer than 0.1° are merged.

Main lines, by angle (10 to 90 degrees two-theta):
d_spacing	I/Imax	(hkl)
7.752	42	1 1 0
4.509	36	0 2 0
4.411	100	3 1 0
3.540	25	3 1 1
2.967	65	0 0 2
2.584	70	3 3 0
2.529	36	6 0 0
2.462	36	3 1 2
1.949	46	3 3 2
1.925	26	6 0 2

Crystal structure
a b c (Å): 15.1733 9.0172 5.9337
angles (deg): 90.00 90.00 90.00
Space group Cmc2_1 (No. 36)
Inequivalent atoms, fractional coordinates:
Sn 0.0000 0.1911 0.0000
Ge 0.1487 0.3563 0.4831
Se 0.1482 0.3616 0.9226
S 0.0000 0.2613 0.4355

For SiGeS3, DFT lattice parameters and positions (PBE) gives the simulated powder XRD pattern in this record (a wavelength of 1.5418 Å).
Lines closer than 0.1° are merged.

Main lines, by angle (10 to 90 degrees two-theta):
d_spacing	I/Imax	(hkl)
7.466	100	1 0 0
6.087	52	1 1 0
4.299	100	1 2 0
4.013	26	1 1 1
3.069	22	0 1 2
2.818	35	2 0 -2
2.809	58	2 1 1
2.775	34	1 2 -2
2.432	31	0 4 1
2.097	28	3 1 1

Crystal structure
a b c (Å): 7.7279 10.5149 6.6353
angles (deg): 90.00 104.96 90.00
Space group P2_1/c (No. 14)
Inequivalent atoms, fractional coordinates:
Si 0.2171 0.2248 0.0246
Ge 0.3932 0.5469 0.2292
S 0.0355 0.2400 0.7172
S 0.2988 0.0285 0.0638
S 0.4535 0.1639 0.5999